[1]
This entry pairs a crystal structure of CaAg4Rh2 with its calculated powder X-ray diffraction pattern. Radiation: Cu Ka. Structure: a GGA-PBE-relaxed structure.
Intensities are scaled so that the largest is 1000.

Atomic structure:
Unit cell a=7.709 b=7.709 c=7.709 alpha=142.11 beta=142.11 gamma=54.66
Fractional coordinates of all 7 atoms:
Ca: 0.000 0.000 0.000
Ag: 0.000 0.500 0.500
Ag: 0.211 0.211 0.000
Ag: 0.500 0.000 0.500
Ag: 0.789 0.789 0.000
Rh: 0.405 0.405 0.000
Rh: 0.595 0.595 0.000

Main lines, by angle (5 to 70 degrees two-theta):
2theta, Rel. int.
12.93, 275
25.16, 336
28.38, 693
35.88, 1000
36.51, 169
37.42, 765
47.39, 288
51.65, 338
52.81, 545
59.99, 211

[2]
This entry pairs a crystal structure of Pu2Te3Au with its calculated powder X-ray diffraction pattern. Radiation: Cu Ka. Structure: a GGA-PBE-relaxed structure.
Intensities are scaled so that the largest is 1000.

Atomic structure:
Unit cell a=11.254 b=4.281 c=14.451 alpha=90.00 beta=90.00 gamma=90.00
Fractional coordinates of all 24 atoms:
Pu: 0.026 0.250 0.247
Pu: 0.221 0.750 0.516
Pu: 0.279 0.250 0.016
Pu: 0.474 0.750 0.747
Pu: 0.526 0.250 0.253
Pu: 0.721 0.750 0.984
Pu: 0.779 0.250 0.484
Pu: 0.974 0.750 0.753
Te: 0.040 0.250 0.602
Te: 0.087 0.750 0.096
Te: 0.225 0.750 0.852
Te: 0.275 0.250 0.352
Te: 0.413 0.250 0.596
Te: 0.460 0.750 0.102
Te: 0.540 0.250 0.898
Te: 0.587 0.750 0.404
Te: 0.725 0.750 0.648
Te: 0.775 0.250 0.148
Te: 0.913 0.250 0.904
Te: 0.960 0.750 0.398
Au: 0.234 0.250 0.725
Au: 0.266 0.750 0.225
Au: 0.734 0.250 0.775
Au: 0.766 0.750 0.275

Main lines, by angle (5 to 70 degrees two-theta):
2theta, Rel. int.
29.00, 726
31.81, 241
32.18, 1000
32.36, 262
36.93, 187
40.61, 175
40.95, 164
42.22, 297
53.79, 158
60.09, 169

[3]
This entry pairs a crystal structure of Pm2Er5Co4 with its calculated powder X-ray diffraction pattern. Radiation: Cu Ka. Structure: a GGA-PBE-relaxed structure.
Intensities are scaled so that the largest is 1000.

Atomic structure:
Unit cell a=6.836 b=6.836 c=8.852 alpha=123.09 beta=123.09 gamma=56.74
Fractional coordinates of all 11 atoms:
Pm: 0.220 0.220 0.125
Pm: 0.780 0.780 0.875
Er: 0.169 0.687 0.607
Er: 0.313 0.831 0.393
Er: 0.500 0.500 0.000
Er: 0.687 0.169 0.607
Er: 0.831 0.313 0.393
Co: 0.172 0.172 0.785
Co: 0.282 0.282 0.656
Co: 0.718 0.718 0.344
Co: 0.828 0.828 0.215

Main lines, by angle (5 to 70 degrees two-theta):
2theta, Rel. int.
26.55, 325
27.36, 372
28.73, 330
30.38, 1000
30.72, 826
31.60, 459
33.49, 610
34.37, 499
40.96, 362
51.72, 442

[4]
This entry pairs a crystal structure of Na3CeSe3 with its calculated powder X-ray diffraction pattern. Radiation: Cu Ka. Structure: a GGA-PBE-relaxed structure.
Intensities are scaled so that the largest is 1000.

Atomic structure:
Unit cell a=8.507 b=8.507 c=8.507 alpha=56.93 beta=56.93 gamma=56.93
Fractional coordinates of all 14 atoms:
Na: 0.128 0.392 0.828
Na: 0.172 0.872 0.608
Na: 0.392 0.828 0.128
Na: 0.608 0.172 0.872
Na: 0.828 0.128 0.392
Na: 0.872 0.608 0.172
Ce: 0.334 0.334 0.334
Ce: 0.666 0.666 0.666
Se: 0.070 0.704 0.458
Se: 0.296 0.542 0.930
Se: 0.458 0.070 0.704
Se: 0.542 0.930 0.296
Se: 0.704 0.458 0.070
Se: 0.930 0.296 0.542

Main lines, by angle (5 to 70 degrees two-theta):
2theta, Rel. int.
12.46, 312
13.28, 416
15.11, 331
25.29, 1000
33.55, 887
38.46, 565
44.30, 313
46.59, 167
51.94, 178
66.45, 152

[5]
This entry pairs a crystal structure of BeNiHPt2 with its calculated powder X-ray diffraction pattern. Radiation: Cu Ka. Structure: a GGA-PBE-relaxed structure.
Intensities are scaled so that the largest is 1000.

Atomic structure:
Unit cell a=3.958 b=3.958 c=3.403 alpha=90.00 beta=90.00 gamma=90.00
Fractional coordinates of all 5 atoms:
Be: 0.000 0.000 0.000
Ni: 0.500 0.500 0.000
H: 0.500 0.500 0.500
Pt: 0.000 0.500 0.500
Pt: 0.500 0.000 0.500

Main lines, by angle (5 to 70 degrees two-theta):
2theta, Rel. int.
22.46, 46
26.18, 405
31.98, 480
34.76, 27
41.79, 1000
45.85, 387
53.57, 239
53.88, 120
64.04, 140
66.86, 125

[6]
This entry pairs a crystal structure of TaTiNb14 with its calculated powder X-ray diffraction pattern. Radiation: Cu Ka. Structure: a GGA-PBE-relaxed structure.
Intensities are scaled so that the largest is 1000.

Atomic structure:
Unit cell a=5.730 b=5.730 c=9.396 alpha=90.00 beta=90.00 gamma=109.62
Fractional coordinates of all 16 atoms:
Ta: 0.000 0.000 0.000
Ti: 0.500 0.500 0.000
Nb: 0.000 0.000 0.500
Nb: 0.000 0.500 0.000
Nb: 0.000 0.500 0.500
Nb: 0.249 0.249 0.252
Nb: 0.249 0.249 0.748
Nb: 0.251 0.749 0.245
Nb: 0.251 0.749 0.755
Nb: 0.500 0.000 0.000
Nb: 0.500 0.000 0.500
Nb: 0.500 0.500 0.500
Nb: 0.749 0.251 0.245
Nb: 0.749 0.251 0.755
Nb: 0.751 0.751 0.252
Nb: 0.751 0.751 0.748

Main lines, by angle (5 to 70 degrees two-theta):
2theta, Rel. int.
16.42, 22
18.96, 33
33.11, 17
38.32, 202
38.47, 1000
55.41, 135
55.67, 67
69.38, 134
69.58, 200
69.69, 67

[7]
This entry pairs a crystal structure of Sc3S4 with its calculated powder X-ray diffraction pattern. Radiation: Cu Ka. Structure: a GGA-PBE-relaxed structure.
Intensities are scaled so that the largest is 1000.

Atomic structure:
Unit cell a=6.324 b=6.324 c=3.685 alpha=90.00 beta=90.00 gamma=108.14
Fractional coordinates of all 7 atoms:
Sc: 0.000 0.000 0.000
Sc: 0.000 0.500 0.500
Sc: 0.500 0.000 0.500
S: 0.243 0.243 0.500
S: 0.254 0.746 0.000
S: 0.746 0.254 0.000
S: 0.757 0.757 0.500

Main lines, by angle (5 to 70 degrees two-theta):
2theta, Rel. int.
14.74, 266
17.32, 85
28.41, 77
34.29, 1000
35.05, 468
49.10, 161
49.46, 158
49.85, 614
61.75, 152
62.06, 151

[8]
This entry pairs a crystal structure of Tl5AsAu with its calculated powder X-ray diffraction pattern. Radiation: Cu Ka. Structure: a GGA-PBE-relaxed structure.
Intensities are scaled so that the largest is 1000.

Atomic structure:
Unit cell a=7.264 b=4.375 c=13.328 alpha=90.00 beta=93.54 gamma=90.00
Fractional coordinates of all 14 atoms:
Tl: 0.033 0.250 0.177
Tl: 0.179 0.750 0.561
Tl: 0.280 0.750 0.013
Tl: 0.344 0.250 0.758
Tl: 0.352 0.250 0.381
Tl: 0.648 0.750 0.619
Tl: 0.656 0.750 0.242
Tl: 0.720 0.250 0.987
Tl: 0.821 0.250 0.439
Tl: 0.967 0.750 0.823
As: 0.440 0.250 0.150
As: 0.560 0.750 0.850
Au: 0.042 0.750 0.341
Au: 0.958 0.250 0.659

Main lines, by angle (5 to 70 degrees two-theta):
2theta, Rel. int.
26.94, 1000
28.67, 243
28.77, 253
30.88, 273
32.07, 265
33.11, 200
33.86, 339
35.47, 374
36.70, 258
41.27, 437

[9]
This entry pairs a crystal structure of Ba4Sr6Ac with its calculated powder X-ray diffraction pattern. Radiation: Cu Ka. Structure: a GGA-PBE-relaxed structure.
Intensities are scaled so that the largest is 1000.

Atomic structure:
Unit cell a=4.148 b=13.426 c=13.426 alpha=60.04 beta=90.00 gamma=90.00
Fractional coordinates of all 11 atoms:
Ba: 0.000 0.000 0.000
Ba: 0.000 0.000 0.510
Ba: 0.000 0.510 0.000
Ba: 0.500 0.503 0.503
Sr: 0.000 0.183 0.663
Sr: 0.000 0.663 0.183
Sr: 0.000 0.663 0.663
Sr: 0.500 0.326 0.326
Sr: 0.500 0.326 0.857
Sr: 0.500 0.857 0.326
Ac: 0.500 0.836 0.836

Main lines, by angle (5 to 70 degrees two-theta):
2theta, Rel. int.
7.60, 331
25.24, 336
26.39, 711
26.55, 1000
31.59, 188
37.79, 263
41.72, 180
46.78, 274
46.87, 198
51.81, 314

[10]
This entry pairs a crystal structure of LiMgGaSb with its calculated powder X-ray diffraction pattern. Radiation: Cu Ka. Structure: a GGA-PBE-relaxed structure.
Intensities are scaled so that the largest is 1000.

Atomic structure:
Unit cell a=4.938 b=4.938 c=4.938 alpha=60.00 beta=60.00 gamma=60.00
Fractional coordinates of all 4 atoms:
Li: 0.000 0.000 0.000
Mg: 0.500 0.500 0.500
Ga: 0.750 0.750 0.750
Sb: 0.250 0.250 0.250

Main lines, by angle (5 to 70 degrees two-theta):
2theta, Rel. int.
22.04, 129
25.51, 666
36.39, 1000
42.95, 66
44.96, 192
52.40, 172
57.52, 27
59.16, 250
65.47, 344

[11]
This entry pairs a crystal structure of Tl2SiSbS4 with its calculated powder X-ray diffraction pattern. Radiation: Cu Ka. Structure: a GGA-PBE-relaxed structure.
Intensities are scaled so that the largest is 1000.

Atomic structure:
Unit cell a=8.764 b=8.851 c=6.030 alpha=90.00 beta=90.00 gamma=90.00
Fractional coordinates of all 16 atoms:
Tl: 0.239 0.146 0.000
Tl: 0.261 0.854 0.500
Tl: 0.739 0.854 0.500
Tl: 0.761 0.146 0.000
Si: 0.000 0.390 0.416
Si: 0.500 0.610 0.916
Sb: 0.000 0.677 0.002
Sb: 0.500 0.323 0.502
S: 0.000 0.394 0.054
S: 0.000 0.625 0.516
S: 0.194 0.260 0.516
S: 0.306 0.740 0.016
S: 0.500 0.375 0.016
S: 0.500 0.606 0.554
S: 0.694 0.740 0.016
S: 0.806 0.260 0.516

Main lines, by angle (5 to 70 degrees two-theta):
2theta, Rel. int.
17.81, 395
22.64, 851
24.96, 1000
27.10, 948
29.63, 707
32.34, 689
36.72, 505
37.60, 453
47.87, 459
48.77, 311

[12]
This entry pairs a crystal structure of Tl3O4 with its calculated powder X-ray diffraction pattern. Radiation: Cu Ka. Structure: a GGA-PBE-relaxed structure.
Intensities are scaled so that the largest is 1000.

Atomic structure:
Unit cell a=9.587 b=9.587 c=9.587 alpha=21.85 beta=21.85 gamma=21.85
Fractional coordinates of all 7 atoms:
Tl: 0.000 0.000 0.000
Tl: 0.227 0.227 0.227
Tl: 0.773 0.773 0.773
O: 0.131 0.131 0.131
O: 0.380 0.380 0.380
O: 0.620 0.620 0.620
O: 0.869 0.869 0.869

Main lines, by angle (5 to 70 degrees two-theta):
2theta, Rel. int.
28.59, 987
29.08, 185
31.15, 1000
32.62, 904
38.43, 484
50.21, 536
51.32, 420
58.81, 561
60.27, 169
61.17, 152

[13]
This entry pairs a crystal structure of HoHfS with its calculated powder X-ray diffraction pattern. Radiation: Cu Ka. Structure: a GGA-PBE-relaxed structure.
Intensities are scaled so that the largest is 1000.

Atomic structure:
Unit cell a=8.284 b=8.284 c=8.284 alpha=156.25 beta=143.70 gamma=43.85
Fractional coordinates of all 6 atoms:
Ho: 0.169 0.169 0.000
Ho: 0.831 0.831 0.000
Hf: 0.250 0.500 0.750
Hf: 0.750 0.500 0.250
S: 0.344 0.344 0.000
S: 0.656 0.656 0.000

Main lines, by angle (5 to 70 degrees two-theta):
2theta, Rel. int.
11.51, 225
24.48, 235
26.78, 153
31.50, 1000
35.03, 389
36.73, 378
42.18, 253
44.42, 336
47.78, 175
53.59, 241